[1]
Ce4Te3As: theoretical X-ray powder pattern (Cu Kα), based on a DFT-relaxed cell (PBE, Alexandria).
Peak positions follow from Bragg's law for the DFT cell and can differ from measured ones.

Cell and atoms:
Cell: 7.694 7.694 4.389 Å, 90.00 90.00 108.97°
Sites, in units of the cell vectors:
Ce  0.230  0.230  0.500
Ce  0.239  0.761  0.000
Ce  0.761  0.239  0.000
Ce  0.770  0.770  0.500
Te  0.000  0.500  0.500
Te  0.500  0.000  0.500
Te  0.500  0.500  0.000
As  0.000  0.000  0.000

Peak list (10 most intense, 2θ from 10° to 80°, in order of falling intensity)
- 28.50°, 3.131 Å, rel. 100
- 40.75°, 2.214 Å, rel. 50
- 66.80°, 1.400 Å, rel. 22
- 50.81°, 1.797 Å, rel. 13
- 50.15°, 1.819 Å, rel. 13
- 41.13°, 2.194 Å, rel. 13
- 40.36°, 2.235 Å, rel. 12
- 58.99°, 1.566 Å, rel. 12
- 74.70°, 1.271 Å, rel. 8
- 73.65°, 1.286 Å, rel. 7


[2]
Tb6Pm2Pr5: theoretical X-ray powder pattern (Cu Kα), based on a DFT-relaxed cell (PBE, Alexandria).
Peak positions follow from Bragg's law for the DFT cell and can differ from measured ones.

Cell and atoms:
Cell: 11.779 20.922 3.635 Å, 90.00 90.00 90.00°
Sites, in units of the cell vectors:
Tb  0.066  0.141  0.000
Tb  0.071  0.431  0.000
Tb  0.187  0.874  0.500
Tb  0.313  0.374  0.500
Tb  0.429  0.931  0.000
Tb  0.434  0.641  0.000
Tb  0.566  0.359  0.000
Tb  0.571  0.069  0.000
Tb  0.687  0.626  0.500
Tb  0.813  0.126  0.500
Tb  0.929  0.569  0.000
Tb  0.934  0.859  0.000
Pm  0.189  0.727  0.000
Pm  0.311  0.227  0.000
Pm  0.689  0.773  0.000
Pm  0.811  0.273  0.000
Pr  0.000  0.000  0.500
Pr  0.070  0.286  0.500
Pr  0.197  0.565  0.500
Pr  0.303  0.065  0.500
Pr  0.430  0.786  0.500
Pr  0.500  0.500  0.500
Pr  0.570  0.214  0.500
Pr  0.697  0.935  0.500
Pr  0.803  0.435  0.500
Pr  0.930  0.714  0.500

Peak list (10 most intense, 2θ from 10° to 80°, in order of falling intensity)
- 30.88°, 2.896 Å, rel. 100
- 31.64°, 2.828 Å, rel. 79
- 30.66°, 2.916 Å, rel. 65
- 33.66°, 2.663 Å, rel. 50
- 36.06°, 2.491 Å, rel. 29
- 34.40°, 2.607 Å, rel. 28
- 50.95°, 1.792 Å, rel. 22
- 28.71°, 3.109 Å, rel. 21
- 50.19°, 1.818 Å, rel. 19
- 59.97°, 1.543 Å, rel. 19


[3]
Er12Tm7Zr: theoretical X-ray powder pattern (Cu Kα), based on a DFT-relaxed cell (PBE, Alexandria).
Peak positions follow from Bragg's law for the DFT cell and can differ from measured ones.

Cell and atoms:
Cell: 8.566 8.566 8.566 Å, 98.73 98.73 98.73°
Sites, in units of the cell vectors:
Er  0.000  0.257  0.743
Er  0.000  0.743  0.257
Er  0.162  0.599  0.599
Er  0.257  0.000  0.743
Er  0.257  0.743  0.000
Er  0.401  0.401  0.838
Er  0.401  0.838  0.401
Er  0.599  0.162  0.599
Er  0.599  0.599  0.162
Er  0.743  0.000  0.257
Er  0.743  0.257  0.000
Er  0.838  0.401  0.401
Tm  0.142  0.142  0.406
Tm  0.142  0.406  0.142
Tm  0.406  0.142  0.142
Tm  0.500  0.500  0.500
Tm  0.594  0.858  0.858
Tm  0.858  0.594  0.858
Tm  0.858  0.858  0.594
Zr  0.000  0.000  0.000

Peak list (10 most intense, 2θ from 10° to 80°, in order of falling intensity)
- 32.62°, 2.745 Å, rel. 100
- 32.10°, 2.788 Å, rel. 70
- 32.24°, 2.777 Å, rel. 66
- 29.93°, 2.985 Å, rel. 54
- 35.02°, 2.562 Å, rel. 37
- 56.64°, 1.625 Å, rel. 26
- 58.06°, 1.589 Å, rel. 25
- 50.46°, 1.808 Å, rel. 23
- 35.50°, 2.529 Å, rel. 22
- 35.14°, 2.554 Å, rel. 20


[4]
LaSm7Er2: theoretical X-ray powder pattern (Cu Kα), based on a DFT-relaxed cell (PBE, Alexandria).
Peak positions follow from Bragg's law for the DFT cell and can differ from measured ones.

Cell and atoms:
Cell: 8.903 8.903 7.134 Å, 101.57 101.57 37.43°
Sites, in units of the cell vectors:
La  0.000  0.000  0.000
Sm  0.000  0.000  0.500
Sm  0.212  0.212  0.356
Sm  0.401  0.401  0.201
Sm  0.401  0.401  0.699
Sm  0.599  0.599  0.301
Sm  0.599  0.599  0.799
Sm  0.788  0.788  0.644
Er  0.213  0.213  0.857
Er  0.787  0.787  0.143

Peak list (10 most intense, 2θ from 10° to 80°, in order of falling intensity)
- 31.33°, 2.856 Å, rel. 100
- 31.50°, 2.840 Å, rel. 65
- 61.28°, 1.513 Å, rel. 29
- 29.86°, 2.992 Å, rel. 26
- 43.82°, 2.066 Å, rel. 18
- 55.76°, 1.649 Å, rel. 18
- 56.87°, 1.619 Å, rel. 14
- 46.20°, 1.965 Å, rel. 13
- 79.10°, 1.211 Å, rel. 13
- 55.86°, 1.646 Å, rel. 13